The following is a computed XRD peak list of Ac2Sb3Au9. It was derived from a crystal structure in Alexandria, relaxed with GGA-PBE, using copper Kα.

```
data_Ac2Sb3Au9
_chemical_formula_sum 'Ac8 Sb12 Au36'
_symmetry_space_group_name_H-M 'C m c m'
_symmetry_Int_Tables_number 63
_symmetry_space_group_name_Hall '-C 2c 2'
_cell_length_a 15.024
_cell_length_b 8.816
_cell_length_c 9.708
_cell_angle_alpha 90.00
_cell_angle_beta 90.00
_cell_angle_gamma 90.00
loop_
_atom_site_label
_atom_site_type_symbol
_atom_site_fract_x
_atom_site_fract_y
_atom_site_fract_z
_atom_site_occupancy
Ac1 Ac 0.155 0.160 0.250 1
Sb1 Sb 0.000 0.000 0.000 1
Sb2 Sb 0.191 0.500 0.000 1
Au1 Au 0.000 0.184 0.750 1
Au2 Au 0.000 0.330 0.050 1
Au3 Au 0.096 0.483 0.750 1
Au4 Au 0.166 0.183 0.601 1
```

Most intense lines, 2θ = 5–70°, low angle first:
h k l	2θ (°)	Rel. int.
4 0 2	30.08	19
0 2 3	34.38	31
3 1 3	34.53	100
3 3 0	35.42	68
6 0 0	35.86	29
1 3 2	36.23	38
5 1 2	36.62	21
6 2 0	41.47	17
6 2 3	50.52	14
9 1 3	63.60	17